Calculated powder X-ray diffraction pattern of Na4Sn2IrAu for Cu Kα, 1.54184 Å, from a PBE-relaxed structure.

Structural model:
```
data_Na4Sn2IrAu
_chemical_formula_sum 'Na4 Sn2 Ir1 Au1'
_cell_length_a 4.845
_cell_length_b 4.845
_cell_length_c 6.891
_cell_angle_alpha 90.00
_cell_angle_beta 90.00
_cell_angle_gamma 90.00
_symmetry_space_group_name_H-M 'P -4 m 2'
_symmetry_Int_Tables_number 115
_symmetry_space_group_name_Hall 'P -4 -2'
loop_
_atom_site_label
_atom_site_type_symbol
_atom_site_fract_x
_atom_site_fract_y
_atom_site_fract_z
_atom_site_occupancy
Na1 Na 0.000 0.000 0.000 1
Na2 Na 0.000 0.500 0.246 1
Na3 Na 0.500 0.500 0.500 1
Sn1 Sn 0.000 0.500 0.721 1
Ir1 Ir 0.000 0.000 0.500 1
Au1 Au 0.500 0.500 0.000 1
```

Main lines, by intensity (10° ≤ 2θ ≤ 90°):
- 3.963 Å, 2θ 22.4, I = 100
- 2.429 Å, 2θ 37.0, I = 97
- 2.422 Å, 2θ 37.1, I = 50
- 2.067 Å, 2θ 43.8, I = 36
- 1.400 Å, 2θ 66.8, I = 34
- 1.713 Å, 2θ 53.5, I = 18